# CeSe2
Simulated X-ray diffraction stick pattern, Cu Kα (weighted mean of Kα1 and Kα2). Input: the PBE geometry in the Materials Project.
Peak positions follow from Bragg's law for the DFT cell and can differ from measured ones.

Structural model:
Unit cell a=18.8485 b=18.8485 c=7.6035 alpha=90.00 beta=90.00 gamma=120.00
Space group P-31m (No. 162)
Inequivalent atoms, fractional coordinates:
Ce 0.1551 0.4666 0.2198 x12
Se 0.0000 0.3850 0.3472 x6
Se 0.1780 0.5890 0.0000 x6
Se 0.1864 0.3728 0.0000 x6
Se 0.2575 0.5150 0.5000 x6

The 10 most intense peaks (2θ = 10–80°), by angle:
d = 6.170 Å, 14.36 deg, I = 74
d = 5.918 Å, 14.97 deg, I = 100
d = 4.791 Å, 18.52 deg, I = 61
d = 4.005 Å, 22.19 deg, I = 53
d = 3.890 Å, 22.86 deg, I = 38
d = 2.959 Å, 30.21 deg, I = 25
d = 2.599 Å, 34.50 deg, I = 37
d = 2.531 Å, 35.47 deg, I = 27
d = 2.002 Å, 45.29 deg, I = 42
d = 1.987 Å, 45.66 deg, I = 39


# Na2Mn2Se3
Simulated X-ray diffraction stick pattern, Cu Kα (weighted mean of Kα1 and Kα2). Input: the PBE geometry in the Materials Project.
Peak positions follow from Bragg's law for the DFT cell and can differ from measured ones.

Structural model:
Unit cell a=15.656 b=14.013 c=7.314 alpha=90.00 beta=117.52 gamma=90.00
Space group C2/c (No. 15)
Inequivalent atoms, fractional coordinates:
Na 0.000 0.070 0.250 x4
Na 0.000 0.221 0.750 x4
Na 0.105 0.415 0.639 x8
Mn 0.183 0.236 0.258 x8
Mn 0.210 0.076 0.796 x8
Se 0.112 0.385 0.047 x8
Se 0.135 0.219 0.550 x8
Se 0.147 0.075 0.066 x8

The 10 most intense peaks (2θ = 10–80°), by angle:
d = 6.942 Å, 12.75 deg, I = 46
d = 3.937 Å, 22.59 deg, I = 76
d = 3.657 Å, 24.34 deg, I = 65
d = 3.471 Å, 25.66 deg, I = 57
d = 3.429 Å, 25.98 deg, I = 93
d = 3.228 Å, 27.64 deg, I = 48
d = 2.613 Å, 34.33 deg, I = 52
d = 2.336 Å, 38.55 deg, I = 40
d = 2.161 Å, 41.80 deg, I = 100
d = 1.839 Å, 49.58 deg, I = 39


# Li6CaCeO6
Simulated X-ray diffraction stick pattern, Cu Kα (weighted mean of Kα1 and Kα2). Input: the PBE geometry in the Materials Project.
Peak positions follow from Bragg's law for the DFT cell and can differ from measured ones.

Structural model:
Unit cell a=5.8673 b=5.8673 c=10.7425 alpha=90.00 beta=90.00 gamma=120.00
Space group P-31c (No. 163)
Inequivalent atoms, fractional coordinates:
Li 0.0587 0.3686 0.0648 x12
Ca 0.0000 0.0000 0.2500 x2
Ce 0.3333 0.6667 0.7500 x2
O 0.0439 0.3470 0.8806 x12

The 10 most intense peaks (2θ = 10–80°), by angle:
d = 5.371 Å, 16.50 deg, I = 34
d = 4.593 Å, 19.32 deg, I = 100
d = 2.929 Å, 30.52 deg, I = 40
d = 2.575 Å, 34.85 deg, I = 58
d = 2.472 Å, 36.34 deg, I = 14
d = 2.072 Å, 43.68 deg, I = 13
d = 1.981 Å, 45.82 deg, I = 40
d = 1.891 Å, 48.13 deg, I = 17
d = 1.693 Å, 54.17 deg, I = 26
d = 1.432 Å, 65.14 deg, I = 10


# Mg3Al18W2
Simulated X-ray diffraction stick pattern, Cu Kα (weighted mean of Kα1 and Kα2). Input: the PBE geometry in the Materials Project.
Peak positions follow from Bragg's law for the DFT cell and can differ from measured ones.

Structural model:
Unit cell a=14.700 b=14.700 c=14.700 alpha=90.00 beta=90.00 gamma=90.00
Space group Fd-3m (No. 227, origin choice 2)
Inequivalent atoms, fractional coordinates:
Mg 0.000 0.000 0.000 x16
Mg 0.125 0.125 0.125 x8
Al 0.016 0.375 0.875 x48
Al 0.059 0.059 0.323 x96
W 0.000 0.000 0.500 x16

The 10 most intense peaks (2θ = 10–80°), by angle:
d = 8.487 Å, 10.42 deg, I = 100
d = 4.432 Å, 20.03 deg, I = 58
d = 4.244 Å, 20.93 deg, I = 56
d = 3.675 Å, 24.22 deg, I = 33
d = 2.599 Å, 34.51 deg, I = 40
d = 2.242 Å, 40.23 deg, I = 44
d = 2.216 Å, 40.71 deg, I = 94
d = 2.122 Å, 42.61 deg, I = 28
d = 2.058 Å, 43.99 deg, I = 41
d = 1.415 Å, 66.05 deg, I = 28


# Rb2CeTa6Br15O3
Simulated X-ray diffraction stick pattern, Cu Kα (weighted mean of Kα1 and Kα2). Input: the PBE geometry in the Materials Project.
Peak positions follow from Bragg's law for the DFT cell and can differ from measured ones.

Structural model:
Unit cell a=9.5993 b=9.5993 c=18.1059 alpha=90.00 beta=90.00 gamma=120.00
Space group P-31c (No. 163)
Inequivalent atoms, fractional coordinates:
Rb 0.3333 0.6667 0.0475 x4
Ce 0.3333 0.6667 0.7500 x2
Ta 0.0167 0.1894 0.8142 x12
Br 0.0190 0.2233 0.0853 x12
Br 0.0742 0.4708 0.8838 x12
Br 0.2142 0.4285 0.2500 x6
O 0.1814 0.3628 0.7500 x6

The 10 most intense peaks (2θ = 10–80°), by angle:
d = 8.313 Å, 10.64 deg, I = 100
d = 6.123 Å, 14.47 deg, I = 34
d = 3.293 Å, 27.08 deg, I = 30
d = 3.142 Å, 28.41 deg, I = 32
d = 2.787 Å, 32.12 deg, I = 30
d = 2.581 Å, 34.76 deg, I = 88
d = 2.184 Å, 41.34 deg, I = 22
d = 2.176 Å, 41.49 deg, I = 23
d = 2.120 Å, 42.64 deg, I = 30
d = 2.055 Å, 44.08 deg, I = 19


# LaCuO3
Simulated X-ray diffraction stick pattern, Cu Kα (weighted mean of Kα1 and Kα2). Input: the PBE geometry in the Materials Project.
Peak positions follow from Bragg's law for the DFT cell and can differ from measured ones.

Structural model:
Unit cell a=3.872 b=3.872 c=3.872 alpha=90.00 beta=90.00 gamma=90.00
Space group Pm-3m (No. 221)
Inequivalent atoms, fractional coordinates:
La 0.000 0.000 0.000 x1
Cu 0.500 0.500 0.500 x1
O 0.000 0.500 0.500 x3

The 9 most intense peaks (2θ = 10–80°), by angle:
d = 3.872 Å, 22.97 deg, I = 8
d = 2.738 Å, 32.71 deg, I = 100
d = 2.235 Å, 40.35 deg, I = 14
d = 1.936 Å, 46.94 deg, I = 32
d = 1.731 Å, 52.88 deg, I = 4
d = 1.581 Å, 58.38 deg, I = 38
d = 1.369 Å, 68.55 deg, I = 19
d = 1.291 Å, 73.36 deg, I = 2
d = 1.224 Å, 78.05 deg, I = 16